(1)
Simulated X-ray diffraction stick pattern
Compound: Li9Mn7O16
Radiation: Cu Kα
Structure: a structure optimized by DFT (GGA+U)
Intensities are scaled so that the largest is 100.

Top 12 peaks for 5° ≤ 2θ ≤ 70°, low angle first:
- 18.29°, intensity 100
- 33.96°, intensity 19
- 36.14°, intensity 12
- 36.38°, intensity 12
- 40.72°, intensity 35
- 44.30°, intensity 53
- 61.28°, intensity 8
- 61.59°, intensity 8
- 61.90°, intensity 8
- 62.15°, intensity 8
- 64.05°, intensity 7
- 64.83°, intensity 7

```
Li9Mn7O16
1.0
3.0085 0.0000 0.0000
0.7974 9.9206 0.0000
0.3509 2.1088 9.9358
Li Mn O
9 7 16
Direct
0.0000 0.0000 0.0000
0.0000 0.0000 0.5000
0.0110 0.5086 0.2378
0.4863 0.7402 0.1213
0.4960 0.2489 0.3740
0.5000 0.5000 0.0000
0.5040 0.7511 0.6260
0.5137 0.2598 0.8787
0.9890 0.4914 0.7622
0.0014 0.7510 0.3734
0.0052 0.2593 0.1189
0.4903 0.9962 0.7486
0.5000 0.5000 0.5000
0.5097 0.0038 0.2514
0.9948 0.7407 0.8811
0.9986 0.2490 0.6266
0.0080 0.6362 0.0511
0.0274 0.1213 0.8048
0.0350 0.1280 0.3008
0.0359 0.6280 0.5522
0.4658 0.6225 0.3198
0.4665 0.1227 0.5716
0.4701 0.8636 0.9249
0.4739 0.3576 0.1777
0.5261 0.6424 0.8223
0.5299 0.1364 0.0751
0.5335 0.8773 0.4284
0.5342 0.3775 0.6802
0.9641 0.3720 0.4478
0.9650 0.8720 0.6992
0.9726 0.8787 0.1952
0.9920 0.3638 0.9489
```

(2)
Simulated X-ray diffraction stick pattern
Compound: Na3CoO3
Radiation: Cu Kα
Structure: a structure optimized by DFT (GGA+U)
Intensities are scaled so that the largest is 100.

Top 12 peaks for 5° ≤ 2θ ≤ 70°, low angle first:
- 23.10°, intensity 100
- 27.45°, intensity 23
- 28.13°, intensity 15
- 33.34°, intensity 43
- 33.92°, intensity 19
- 34.92°, intensity 22
- 37.65°, intensity 61
- 38.31°, intensity 17
- 43.13°, intensity 25
- 55.48°, intensity 21
- 58.56°, intensity 18
- 68.99°, intensity 20

```
Na3CoO3
1.0
4.1949 -5.1393 0.0000
4.1949 5.1393 0.0000
0.0000 0.0000 4.7789
Na Co O
6 2 6
Direct
0.0995 0.9005 0.7500
0.1663 0.3843 0.7500
0.3843 0.1663 0.2500
0.6157 0.8337 0.7500
0.8337 0.6157 0.2500
0.9005 0.0995 0.2500
0.3026 0.6974 0.2500
0.6974 0.3026 0.7500
0.1282 0.8718 0.2500
0.1865 0.4332 0.2500
0.4332 0.1865 0.7500
0.5668 0.8135 0.2500
0.8135 0.5668 0.7500
0.8718 0.1282 0.7500
```

(3)
Simulated X-ray diffraction stick pattern
Compound: Sr2YCoCu2O7
Radiation: Cu Kα
Structure: a structure optimized by DFT (GGA+U)
Intensities are scaled so that the largest is 100.

Top 12 peaks for 5° ≤ 2θ ≤ 70°, low angle first:
- 7.65°, intensity 18
- 32.52°, intensity 29
- 32.84°, intensity 100
- 33.04°, intensity 30
- 38.94°, intensity 24
- 47.04°, intensity 33
- 47.20°, intensity 9
- 58.22°, intensity 18
- 58.49°, intensity 7
- 58.84°, intensity 17
- 58.91°, intensity 10
- 68.82°, intensity 6

```
Sr2YCoCu2O7
1.0
5.4227 0.0000 0.0000
-0.0062 5.5063 0.0000
-2.6912 -2.7419 11.5529
Sr Y Co Cu O
4 2 2 4 14
Direct
0.0000 0.0000 0.0000
0.1917 0.1920 0.3893
0.4987 0.4802 0.9999
0.6944 0.6725 0.3898
0.3471 0.3396 0.6946
0.8468 0.8393 0.6949
0.1241 0.6433 0.1936
0.6241 0.0269 0.1958
0.2713 0.7647 0.5483
0.4192 0.9131 0.8423
0.7691 0.2629 0.5446
0.9199 0.4135 0.8436
0.9998 0.4710 0.0443
0.0257 0.0165 0.5638
0.0400 0.5225 0.5726
0.1415 0.6127 0.3411
0.1551 0.6591 0.8249
0.1620 0.1562 0.8160
0.4823 0.7007 0.1952
0.4923 0.0597 0.0489
0.5230 0.0267 0.5653
0.5378 0.5348 0.5722
0.6488 0.1996 0.3453
0.6555 0.6495 0.8248
0.6630 0.1451 0.8181
0.9799 0.9686 0.1939
```

(4)
Simulated X-ray diffraction stick pattern
Compound: Ce2MgV2O8
Radiation: Cu Kα
Structure: a structure optimized by DFT (GGA+U)
Intensities are scaled so that the largest is 100.

Top 12 peaks for 5° ≤ 2θ ≤ 70°, low angle first:
- 12.28°, intensity 68
- 18.69°, intensity 25
- 25.17°, intensity 100
- 25.24°, intensity 14
- 29.83°, intensity 38
- 33.23°, intensity 16
- 34.43°, intensity 12
- 35.91°, intensity 17
- 36.95°, intensity 23
- 36.99°, intensity 21
- 44.63°, intensity 18
- 52.70°, intensity 17

```
Ce2MgV2O8
1.0
5.1377 0.0000 0.0000
-1.1003 5.2095 0.0000
-2.0286 -2.5872 7.2095
Ce Mg V O
2 1 2 8
Direct
0.0000 0.0000 0.0000
0.1818 0.6798 0.3615
0.8480 0.3492 0.6976
0.5170 0.5168 0.0336
0.6503 0.1487 0.2991
0.1566 0.2428 0.8459
0.3244 0.7998 0.1105
0.3727 0.3572 0.2328
0.5474 0.0335 0.5017
0.6886 0.6045 0.8452
0.7866 0.3101 0.1101
0.8611 0.8740 0.2330
0.9547 0.4662 0.5011
```

(5)
Simulated X-ray diffraction stick pattern
Compound: Li9Cr5O12
Radiation: Cu Kα
Structure: a structure optimized by DFT (GGA+U)
Intensities are scaled so that the largest is 100.

Top 12 peaks for 5° ≤ 2θ ≤ 70°, low angle first:
- 8.85°, intensity 15
- 17.75°, intensity 100
- 34.97°, intensity 21
- 35.95°, intensity 21
- 37.48°, intensity 11
- 39.74°, intensity 14
- 41.06°, intensity 12
- 42.76°, intensity 23
- 45.21°, intensity 28
- 47.89°, intensity 12
- 56.38°, intensity 13
- 61.83°, intensity 16

```
Li9Cr5O12
1.0
2.5946 -4.5541 0.0000
2.5946 4.5541 0.0000
-1.0778 0.0000 9.9966
Li Cr O
9 5 12
Direct
0.0000 0.0000 0.0000
0.1918 0.6474 0.7523
0.1982 0.1982 0.2553
0.2603 0.2603 0.8053
0.3526 0.8082 0.2477
0.6474 0.1918 0.7523
0.7397 0.7397 0.1947
0.8018 0.8018 0.7447
0.8082 0.3526 0.2477
0.1653 0.8347 0.5000
0.3321 0.6679 0.0000
0.5000 0.5000 0.5000
0.6679 0.3321 0.0000
0.8347 0.1653 0.5000
0.0212 0.6723 0.1191
0.1457 0.4770 0.3920
0.1855 0.1855 0.6060
0.3277 0.9788 0.8809
0.3918 0.3918 0.1150
0.4770 0.1457 0.3920
0.5230 0.8543 0.6080
0.6082 0.6082 0.8850
0.6723 0.0212 0.1191
0.8145 0.8145 0.3940
0.8543 0.5230 0.6080
0.9788 0.3277 0.8809
```

(6)
Simulated X-ray diffraction stick pattern
Compound: VCuO3
Radiation: Cu Kα
Structure: a structure optimized by DFT (GGA+U)
Intensities are scaled so that the largest is 100.

Top 9 peaks for 5° ≤ 2θ ≤ 70°, low angle first:
- 24.29°, intensity 1
- 29.86°, intensity 1
- 34.61°, intensity 100
- 38.85°, intensity 6
- 42.74°, intensity 6
- 46.35°, intensity 4
- 49.76°, intensity 28
- 56.12°, intensity 1
- 62.03°, intensity 48

```
VCuO3
1.0
-3.6648 3.6648 3.6648
3.6648 -3.6648 3.6648
3.6648 3.6648 -3.6648
V Cu O
4 4 12
Direct
0.0000 0.0000 0.5000
0.0000 0.5000 0.0000
0.5000 0.0000 0.0000
0.5000 0.5000 0.5000
0.0000 0.0000 0.0000
0.0000 0.5000 0.5000
0.5000 0.0000 0.5000
0.5000 0.5000 0.0000
0.1221 0.8190 0.3031
0.1810 0.3031 0.4841
0.1810 0.6969 0.8779
0.3031 0.1221 0.8190
0.3031 0.4841 0.1810
0.4841 0.1810 0.3031
0.5159 0.8190 0.6969
0.6969 0.5159 0.8190
0.6969 0.8779 0.1810
0.8190 0.3031 0.1221
0.8190 0.6969 0.5159
0.8779 0.1810 0.6969
```

(7)
Simulated X-ray diffraction stick pattern
Compound: Li9Mn2Co5O16
Radiation: Cu Kα
Structure: a structure optimized by DFT (GGA+U)
Intensities are scaled so that the largest is 100.

Top 12 peaks for 5° ≤ 2θ ≤ 70°, low angle first:
- 18.32°, intensity 100
- 35.25°, intensity 14
- 36.22°, intensity 25
- 37.66°, intensity 7
- 42.64°, intensity 28
- 43.90°, intensity 55
- 47.55°, intensity 13
- 57.79°, intensity 10
- 62.78°, intensity 14
- 62.93°, intensity 14
- 63.16°, intensity 7
- 64.49°, intensity 7

```
Li9Mn2Co5O16
1.0
4.9049 -1.4450 0.0000
4.9049 1.4450 0.0000
-3.2393 0.0000 20.3679
Li Mn Co O
9 2 5 16
Direct
0.0000 0.0000 0.0000
0.0024 0.0024 0.2463
0.0038 0.0038 0.5057
0.4921 0.4921 0.6194
0.4977 0.4977 0.8668
0.5001 0.5001 0.1275
0.5039 0.5039 0.3776
0.7541 0.7541 0.5594
0.9889 0.9889 0.7409
0.2469 0.2469 0.9343
0.2602 0.2602 0.4408
0.2349 0.2349 0.6721
0.2479 0.2479 0.1858
0.7464 0.7464 0.8039
0.7501 0.7501 0.0621
0.7519 0.7519 0.3118
0.1230 0.1230 0.5952
0.1332 0.1332 0.0919
0.1381 0.1381 0.8457
0.1477 0.1477 0.3447
0.3567 0.3567 0.0218
0.3608 0.3608 0.2823
0.3623 0.3623 0.7822
0.3686 0.3686 0.5215
0.6331 0.6331 0.2166
0.6326 0.6326 0.7167
0.6334 0.6334 0.9605
0.6439 0.6439 0.4620
0.8583 0.8583 0.9067
0.8592 0.8592 0.6565
0.8672 0.8672 0.1574
0.8684 0.8684 0.4077
```

Please write out number 5 again, unchanged.
Simulated X-ray diffraction stick pattern
Compound: Li9Cr5O12
Radiation: Cu Kα
Structure: a structure optimized by DFT (GGA+U)
Intensities are scaled so that the largest is 100.

Top 12 peaks for 5° ≤ 2θ ≤ 70°, low angle first:
- 8.85°, intensity 15
- 17.75°, intensity 100
- 34.97°, intensity 21
- 35.95°, intensity 21
- 37.48°, intensity 11
- 39.74°, intensity 14
- 41.06°, intensity 12
- 42.76°, intensity 23
- 45.21°, intensity 28
- 47.89°, intensity 12
- 56.38°, intensity 13
- 61.83°, intensity 16

```
Li9Cr5O12
1.0
2.5946 -4.5541 0.0000
2.5946 4.5541 0.0000
-1.0778 0.0000 9.9966
Li Cr O
9 5 12
Direct
0.0000 0.0000 0.0000
0.1918 0.6474 0.7523
0.1982 0.1982 0.2553
0.2603 0.2603 0.8053
0.3526 0.8082 0.2477
0.6474 0.1918 0.7523
0.7397 0.7397 0.1947
0.8018 0.8018 0.7447
0.8082 0.3526 0.2477
0.1653 0.8347 0.5000
0.3321 0.6679 0.0000
0.5000 0.5000 0.5000
0.6679 0.3321 0.0000
0.8347 0.1653 0.5000
0.0212 0.6723 0.1191
0.1457 0.4770 0.3920
0.1855 0.1855 0.6060
0.3277 0.9788 0.8809
0.3918 0.3918 0.1150
0.4770 0.1457 0.3920
0.5230 0.8543 0.6080
0.6082 0.6082 0.8850
0.6723 0.0212 0.1191
0.8145 0.8145 0.3940
0.8543 0.5230 0.6080
0.9788 0.3277 0.8809
```

Copy entry 3 word for word.
Simulated X-ray diffraction stick pattern
Compound: Sr2YCoCu2O7
Radiation: Cu Kα
Structure: a structure optimized by DFT (GGA+U)
Intensities are scaled so that the largest is 100.

Top 12 peaks for 5° ≤ 2θ ≤ 70°, low angle first:
- 7.65°, intensity 18
- 32.52°, intensity 29
- 32.84°, intensity 100
- 33.04°, intensity 30
- 38.94°, intensity 24
- 47.04°, intensity 33
- 47.20°, intensity 9
- 58.22°, intensity 18
- 58.49°, intensity 7
- 58.84°, intensity 17
- 58.91°, intensity 10
- 68.82°, intensity 6

```
Sr2YCoCu2O7
1.0
5.4227 0.0000 0.0000
-0.0062 5.5063 0.0000
-2.6912 -2.7419 11.5529
Sr Y Co Cu O
4 2 2 4 14
Direct
0.0000 0.0000 0.0000
0.1917 0.1920 0.3893
0.4987 0.4802 0.9999
0.6944 0.6725 0.3898
0.3471 0.3396 0.6946
0.8468 0.8393 0.6949
0.1241 0.6433 0.1936
0.6241 0.0269 0.1958
0.2713 0.7647 0.5483
0.4192 0.9131 0.8423
0.7691 0.2629 0.5446
0.9199 0.4135 0.8436
0.9998 0.4710 0.0443
0.0257 0.0165 0.5638
0.0400 0.5225 0.5726
0.1415 0.6127 0.3411
0.1551 0.6591 0.8249
0.1620 0.1562 0.8160
0.4823 0.7007 0.1952
0.4923 0.0597 0.0489
0.5230 0.0267 0.5653
0.5378 0.5348 0.5722
0.6488 0.1996 0.3453
0.6555 0.6495 0.8248
0.6630 0.1451 0.8181
0.9799 0.9686 0.1939
```